1.
The following is a computed powder XRD pattern of U2TlF11. It was derived from a cell relaxed with GGA-PBE, using Cu Kα X-rays.
No peak broadening, texture or thermal motion is included.

Cell and atoms:
```
data_U2TlF11
_cell_length_a 9.6714
_cell_length_b 10.3650
_cell_length_c 12.3676
_cell_angle_alpha 90.00
_cell_angle_beta 90.00
_cell_angle_gamma 90.00
_space_group_name_H-M_alt 'I b a m'
_space_group_IT_number 72
_space_group_name_Hall '-I 2 2c'
loop_
_atom_site_label
_atom_site_fract_x
_atom_site_fract_y
_atom_site_fract_z
U1 0.1563 0.1638 0.0000
Tl1 0.0000 0.5000 0.2500
F1 0.0000 0.0000 0.0000
F2 0.0592 0.2680 0.1206
F3 0.1890 0.2000 0.5000
F4 0.2374 0.4369 0.3820
```

Main lines, low angle first (10° ≤ 2θ ≤ 90°):
- 2θ 14.3, rel. 410
- 2θ 19.1, rel. 1000
- 2θ 20.7, rel. 795
- 2θ 21.5, rel. 811
- 2θ 22.4, rel. 491
- 2θ 23.4, rel. 369
- 2θ 27.4, rel. 294
- 2θ 38.7, rel. 261
- 2θ 40.2, rel. 265
- 2θ 41.0, rel. 560

***

2.
The following is a computed powder XRD pattern of SmHo3Te4. It was derived from a cell relaxed with GGA-PBE, using Cu Kα X-rays.
No peak broadening, texture or thermal motion is included.

Cell and atoms:
```
data_SmHo3Te4
_cell_length_a 8.8593
_cell_length_b 12.3440
_cell_length_c 4.2955
_cell_angle_alpha 90.00
_cell_angle_beta 90.00
_cell_angle_gamma 90.00
_space_group_name_H-M_alt 'C m m m'
_space_group_IT_number 65
_space_group_name_Hall '-C 2 2'
loop_
_atom_site_label
_atom_site_fract_x
_atom_site_fract_y
_atom_site_fract_z
Sm1 0.0000 0.0000 0.0000
Ho1 0.0000 0.5000 0.0000
Ho2 0.2500 0.2500 0.5000
Te1 0.0000 0.2531 0.0000
Te2 0.2439 0.5000 0.5000
```

Main lines, low angle first (10° ≤ 2θ ≤ 90°):
- 2θ 28.9, rel. 1000
- 2θ 40.7, rel. 132
- 2θ 41.4, rel. 506
- 2θ 42.1, rel. 121
- 2θ 50.7, rel. 140
- 2θ 51.9, rel. 132
- 2θ 60.0, rel. 127
- 2θ 67.9, rel. 231
- 2θ 74.6, rel. 88
- 2θ 76.4, rel. 83

***

3.
The following is a computed powder XRD pattern of AcCeSnHg. It was derived from a cell relaxed with GGA-PBE, using Cu Kα X-rays.
No peak broadening, texture or thermal motion is included.

Cell and atoms:
```
data_AcCeSnHg
_cell_length_a 7.9437
_cell_length_b 7.9437
_cell_length_c 7.9437
_cell_angle_alpha 90.00
_cell_angle_beta 90.00
_cell_angle_gamma 90.00
_space_group_name_H-M_alt 'F -4 3 m'
_space_group_IT_number 216
_space_group_name_Hall 'F -4 2 3'
loop_
_atom_site_label
_atom_site_fract_x
_atom_site_fract_y
_atom_site_fract_z
Ac1 0.0000 0.0000 0.0000
Ce1 0.0000 0.0000 0.5000
Sn1 0.2500 0.2500 0.7500
Hg1 0.2500 0.2500 0.2500
```

Main lines, low angle first (10° ≤ 2θ ≤ 90°):
- 2θ 19.4, rel. 58
- 2θ 31.9, rel. 1000
- 2θ 37.6, rel. 36
- 2θ 45.7, rel. 188
- 2θ 50.1, rel. 16
- 2θ 56.8, rel. 398
- 2θ 60.6, rel. 12
- 2θ 66.6, rel. 124
- 2θ 75.7, rel. 174
- 2θ 84.5, rel. 45

***

4.
The following is a computed powder XRD pattern of AcSc2. It was derived from a cell relaxed with GGA-PBE, using Cu Kα X-rays.
No peak broadening, texture or thermal motion is included.

Cell and atoms:
```
data_AcSc2
_cell_length_a 3.9310
_cell_length_b 3.9310
_cell_length_c 11.8541
_cell_angle_alpha 90.00
_cell_angle_beta 90.00
_cell_angle_gamma 90.00
_space_group_name_H-M_alt 'I 4/m m m'
_space_group_IT_number 139
_space_group_name_Hall '-I 4 2'
loop_
_atom_site_label
_atom_site_fract_x
_atom_site_fract_y
_atom_site_fract_z
Ac1 0.0000 0.0000 0.0000
Sc1 0.0000 0.0000 0.3145
```

Main lines, low angle first (10° ≤ 2θ ≤ 90°):
- 2θ 14.9, rel. 254
- 2θ 23.8, rel. 500
- 2θ 32.1, rel. 1000
- 2θ 35.7, rel. 136
- 2θ 44.7, rel. 195
- 2θ 46.2, rel. 124
- 2θ 52.6, rel. 128
- 2θ 57.2, rel. 114
- 2θ 57.4, rel. 250
- 2θ 76.6, rel. 108

***

5.
The following is a computed powder XRD pattern of Sr2AgH6Pd. It was derived from a cell relaxed with GGA-PBE, using Cu Kα X-rays.
No peak broadening, texture or thermal motion is included.

Cell and atoms:
```
data_Sr2AgH6Pd
_cell_length_a 7.7405
_cell_length_b 7.7724
_cell_length_c 7.8998
_cell_angle_alpha 90.00
_cell_angle_beta 90.00
_cell_angle_gamma 90.00
_space_group_name_H-M_alt 'F m m m'
_space_group_IT_number 69
_space_group_name_Hall '-F 2 2'
loop_
_atom_site_label
_atom_site_fract_x
_atom_site_fract_y
_atom_site_fract_z
Sr1 0.2500 0.2500 0.2500
Ag1 0.0000 0.0000 0.0000
H1 0.0000 0.0000 0.2624
H2 0.0000 0.2380 0.5000
H3 0.2377 0.0000 0.5000
Pd1 0.0000 0.0000 0.5000
```

Main lines, low angle first (10° ≤ 2θ ≤ 90°):
- 2θ 32.4, rel. 1000
- 2θ 32.7, rel. 488
- 2θ 46.0, rel. 97
- 2θ 46.8, rel. 92
- 2θ 47.0, rel. 90
- 2θ 57.5, rel. 187
- 2θ 58.0, rel. 182
- 2θ 58.2, rel. 181
- 2θ 76.4, rel. 81
- 2θ 86.4, rel. 61

***

6.
The following is a computed powder XRD pattern of Os3W. It was derived from a cell relaxed with GGA-PBE, using Cu Kα X-rays.
No peak broadening, texture or thermal motion is included.

Cell and atoms:
```
data_Os3W
_cell_length_a 2.7841
_cell_length_b 4.4177
_cell_length_c 4.7911
_cell_angle_alpha 90.00
_cell_angle_beta 90.00
_cell_angle_gamma 90.00
_space_group_name_H-M_alt 'P m m 2'
_space_group_IT_number 25
loop_
_space_group_symop_operation_xyz
'x,y,z'
'-x,-y,z'
'-x,y,z'
'x,-y,z'
loop_
_atom_site_label
_atom_site_fract_x
_atom_site_fract_y
_atom_site_fract_z
Os1 0.0000 0.0000 0.0000
Os2 0.0000 0.5000 0.3371
Os3 0.5000 0.0000 0.4937
W1 0.5000 0.5000 0.8306
```

Main lines, low angle first (10° ≤ 2θ ≤ 90°):
- 2θ 37.4, rel. 230
- 2θ 37.5, rel. 127
- 2θ 40.9, rel. 374
- 2θ 42.8, rel. 1000
- 2θ 42.9, rel. 474
- 2θ 56.5, rel. 141
- 2θ 67.6, rel. 171
- 2θ 75.7, rel. 190
- 2θ 82.1, rel. 203
- 2θ 83.2, rel. 145